(1)
Computed powder diffraction line list
Compound: Sm3Cu
Radiation: λ = 1.5418 Å (Cu Kα)
Structure: a DFT-relaxed cell (GGA-PBE, Alexandria)
Intensities are scaled so that the largest is 100.

Crystal structure
a = 4.9807 Å, b = 11.8069 Å, c = 7.6739 Å
α = 90.00°, β = 90.00°, γ = 90.00°
Space group Cmcm (No. 63)
Unique sites:
Sm  0.0000  0.0461  0.2500
Sm  0.0000  0.3535  0.0300
Cu  0.0000  0.2006  0.7500

Peak list (12 most intense, 10 to 80 degrees two-theta, sorted by position)
hkl 1 3 0, 3.088 Å, 28.91°, rel. 48.6; hkl 1 1 2, 2.944 Å, 30.36°, rel. 100.0; hkl 1 3 1, 2.865 Å, 31.22°, rel. 24.5; hkl 0 4 1, 2.755 Å, 32.50°, rel. 19.0; hkl 2 0 0, 2.490 Å, 36.07°, rel. 35.8; hkl 1 3 2, 2.406 Å, 37.38°, rel. 22.8; hkl 0 4 2, 2.340 Å, 38.48°, rel. 23.0; hkl 0 0 4, 1.918 Å, 47.39°, rel. 11.7; hkl 2 4 2, 1.706 Å, 53.73°, rel. 24.1; hkl 1 5 3, 1.639 Å, 56.13°, rel. 14.0; hkl 1 7 0, 1.598 Å, 57.71°, rel. 11.9; hkl 3 1 2, 1.511 Å, 61.35°, rel. 12.6


(2)
Computed powder diffraction line list
Compound: SmCu6
Radiation: λ = 1.5418 Å (Cu Kα)
Structure: a DFT-relaxed cell (GGA-PBE, Alexandria)
Intensities are scaled so that the largest is 100.

Crystal structure
a = 8.0255 Å, b = 5.1065 Å, c = 10.0734 Å
α = 90.00°, β = 90.00°, γ = 90.00°
Space group Pnma (No. 62)
Unique sites:
Sm  0.2407  0.2500  0.0641
Cu  0.0662  0.0060  0.3093
Cu  0.0661  0.7500  0.0953
Cu  0.1004  0.2500  0.5176
Cu  0.1467  0.7500  0.8556
Cu  0.1814  0.2500  0.7570

Peak list (12 most intense, 10 to 80 degrees two-theta, sorted by position)
hkl 0 1 3, 2.806 Å, 31.90°, rel. 24.2; hkl 0 2 0, 2.553 Å, 35.15°, rel. 37.3; hkl 1 0 4, 2.403 Å, 37.43°, rel. 58.4; hkl 3 0 2, 2.364 Å, 38.07°, rel. 23.4; hkl 3 1 1, 2.307 Å, 39.05°, rel. 100.0; hkl 2 1 3, 2.299 Å, 39.18°, rel. 79.6; hkl 0 2 2, 2.277 Å, 39.57°, rel. 29.0; hkl 2 2 0, 2.154 Å, 41.94°, rel. 30.8; hkl 2 2 1, 2.107 Å, 42.93°, rel. 29.8; hkl 4 0 1, 1.969 Å, 46.10°, rel. 98.8; hkl 1 0 5, 1.954 Å, 46.47°, rel. 22.2; hkl 3 3 1, 1.422 Å, 65.67°, rel. 23.6


(3)
Computed powder diffraction line list
Compound: SmCu13
Radiation: λ = 1.5418 Å (Cu Kα)
Structure: a DFT-relaxed cell (GGA-PBE, Alexandria)
Intensities are scaled so that the largest is 100.

Crystal structure
a = 11.5468 Å, b = 11.5468 Å, c = 11.5468 Å
α = 90.00°, β = 90.00°, γ = 90.00°
Space group Fm-3c (No. 226)
Unique sites:
Sm  0.2500  0.2500  0.2500
Cu  0.0000  0.0000  0.0000
Cu  0.0000  0.1175  0.1801

Peak list (12 most intense, 10 to 80 degrees two-theta, sorted by position)
hkl 2 2 2, 3.333 Å, 26.74°, rel. 9.1; hkl 4 0 0, 2.887 Å, 30.98°, rel. 8.2; hkl 4 2 0, 2.582 Å, 34.74°, rel. 44.1; hkl 4 2 2, 2.357 Å, 38.18°, rel. 86.5; hkl 5 3 1, 1.952 Å, 46.53°, rel. 100.0; hkl 6 0 0, 1.924 Å, 47.23°, rel. 16.8; hkl 6 2 0, 1.826 Å, 49.95°, rel. 19.6; hkl 4 4 4, 1.667 Å, 55.10°, rel. 9.5; hkl 6 4 0, 1.601 Å, 57.56°, rel. 13.5; hkl 6 4 2, 1.543 Å, 59.95°, rel. 16.9; hkl 6 4 4, 1.400 Å, 66.81°, rel. 14.7; hkl 7 5 3, 1.267 Å, 74.93°, rel. 12.4


(4)
Computed powder diffraction line list
Compound: Sm3Cu2
Radiation: λ = 1.5418 Å (Cu Kα)
Structure: a DFT-relaxed cell (GGA-PBE, Alexandria)
Intensities are scaled so that the largest is 100.

Crystal structure
a = 3.5532 Å, b = 3.5532 Å, c = 19.4618 Å
α = 90.00°, β = 90.00°, γ = 90.00°
Space group P4/mmm (No. 123)
Unique sites:
Sm  0.0000  0.0000  0.0000
Sm  0.0000  0.0000  0.1834
Sm  0.0000  0.0000  0.3637
Sm  0.5000  0.5000  0.5000
Cu  0.5000  0.5000  0.0918
Cu  0.5000  0.5000  0.2742

Peak list (12 most intense, 10 to 80 degrees two-theta, sorted by position)
hkl 1 0 0, 3.553 Å, 25.06°, rel. 13.5; hkl 0 0 6, 3.244 Å, 27.50°, rel. 10.5; hkl 1 0 4, 2.869 Å, 31.17°, rel. 17.5; hkl 1 0 5, 2.624 Å, 34.17°, rel. 100.0; hkl 1 1 0, 2.513 Å, 35.74°, rel. 73.2; hkl 1 0 6, 2.396 Å, 37.54°, rel. 31.3; hkl 1 1 6, 1.986 Å, 45.67°, rel. 10.8; hkl 2 0 0, 1.777 Å, 51.43°, rel. 25.6; hkl 1 0 11, 1.584 Å, 58.26°, rel. 11.2; hkl 2 1 5, 1.471 Å, 63.20°, rel. 32.8; hkl 1 1 11, 1.447 Å, 64.41°, rel. 14.0; hkl 2 1 6, 1.427 Å, 65.40°, rel. 11.8


(5)
Computed powder diffraction line list
Compound: Sm2Cu3Sn5
Radiation: λ = 1.5418 Å (Cu Kα)
Structure: a DFT-relaxed cell (GGA-PBE, Alexandria)
Intensities are scaled so that the largest is 100.

Crystal structure
a = 4.5320 Å, b = 24.9453 Å, c = 8.0359 Å
α = 90.00°, β = 90.00°, γ = 90.00°
Space group Cmc2_1 (No. 36)
Unique sites:
Sm  0.0000  0.0273  0.0000
Sm  0.0000  0.3263  0.0091
Cu  0.0000  0.0983  0.6674
Cu  0.0000  0.2693  0.6036
Cu  0.0000  0.4556  0.8426
Sn  0.0000  0.0985  0.3388
Sn  0.0000  0.1844  0.8509
Sn  0.0000  0.2315  0.2867
Sn  0.0000  0.3763  0.5819
Sn  0.0000  0.4513  0.1937

Peak list (12 most intense, 10 to 80 degrees two-theta, sorted by position)
hkl 1 5 1, 3.096 Å, 28.84°, rel. 15.1; hkl 0 6 2, 2.889 Å, 30.95°, rel. 19.6; hkl 1 3 2, 2.827 Å, 31.65°, rel. 85.8; hkl 1 7 1, 2.645 Å, 33.89°, rel. 100.0; hkl 0 4 3, 2.461 Å, 36.51°, rel. 39.8; hkl 0 10 1, 2.382 Å, 37.76°, rel. 19.3; hkl 1 1 3, 2.296 Å, 39.23°, rel. 19.7; hkl 2 0 0, 2.266 Å, 39.78°, rel. 47.1; hkl 0 14 0, 1.783 Å, 51.25°, rel. 15.8; hkl 2 4 3, 1.667 Å, 55.09°, rel. 24.3; hkl 3 3 2, 1.394 Å, 67.15°, rel. 17.9; hkl 3 7 1, 1.370 Å, 68.46°, rel. 13.1


(6)
Computed powder diffraction line list
Compound: Sm4CuSn8
Radiation: λ = 1.5418 Å (Cu Kα)
Structure: a DFT-relaxed cell (GGA-PBE, Alexandria)
Intensities are scaled so that the largest is 100.

Crystal structure
a = 4.4139 Å, b = 4.4783 Å, c = 17.3905 Å
α = 90.00°, β = 90.00°, γ = 90.00°
Space group Pmm2 (No. 25)
Unique sites:
Sm  0.0000  0.0000  0.0000
Sm  0.0000  0.5000  0.4858
Sm  0.5000  0.0000  0.7893
Sm  0.5000  0.5000  0.2891
Cu  0.0000  0.5000  0.7125
Sn  0.0000  0.0000  0.3248
Sn  0.0000  0.0000  0.6293
Sn  0.0000  0.5000  0.1429
Sn  0.0000  0.5000  0.8571
Sn  0.5000  0.0000  0.1473
Sn  0.5000  0.0000  0.4415
Sn  0.5000  0.5000  0.6274
Sn  0.5000  0.5000  0.9693

Peak list (12 most intense, 10 to 80 degrees two-theta, sorted by position)
hkl 0 0 6, 2.898 Å, 30.85°, rel. 15.7; hkl 1 1 3, 2.763 Å, 32.40°, rel. 100.0; hkl 0 1 5, 2.747 Å, 32.60°, rel. 7.5; hkl 1 0 6, 2.423 Å, 37.11°, rel. 9.3; hkl 0 2 0, 2.239 Å, 40.28°, rel. 18.3; hkl 2 0 0, 2.207 Å, 40.89°, rel. 17.5; hkl 0 2 6, 1.773 Å, 51.55°, rel. 12.2; hkl 1 1 9, 1.645 Å, 55.88°, rel. 12.3; hkl 2 2 0, 1.572 Å, 58.74°, rel. 12.3; hkl 2 2 6, 1.382 Å, 67.81°, rel. 10.9; hkl 1 3 3, 1.374 Å, 68.27°, rel. 12.2; hkl 3 1 3, 1.359 Å, 69.13°, rel. 11.7


(7)
Computed powder diffraction line list
Compound: Sm12CuSn6
Radiation: λ = 1.5418 Å (Cu Kα)
Structure: a DFT-relaxed cell (GGA-PBE, Alexandria)
Intensities are scaled so that the largest is 100.

Crystal structure
a = 13.4342 Å, b = 13.4342 Å, c = 12.5322 Å
α = 90.00°, β = 90.00°, γ = 120.00°
Space group R-3 (No. 148, hexagonal axes)
Unique sites:
Sm  0.0312  0.1995  0.3939
Sm  0.0626  0.2008  0.8827
Cu  0.0000  0.0000  0.0000
Sn  0.0457  0.2794  0.6441

Peak list (12 most intense, 10 to 80 degrees two-theta, sorted by position)
hkl 2 1 1, 4.149 Å, 21.41°, rel. 57.5; hkl 3 -2 2, 3.599 Å, 24.73°, rel. 49.6; hkl 2 2 0, 3.359 Å, 26.54°, rel. 25.2; hkl 1 0 4, 3.025 Å, 29.53°, rel. 58.6; hkl 3 1 2, 2.869 Å, 31.18°, rel. 98.7; hkl 2 1 4, 2.552 Å, 35.17°, rel. 100.0; hkl 1 4 0, 2.539 Å, 35.35°, rel. 81.5; hkl 5 -3 2, 2.455 Å, 36.60°, rel. 44.9; hkl 2 4 1, 2.167 Å, 41.68°, rel. 25.5; hkl 6 -5 2, 1.982 Å, 45.77°, rel. 24.8; hkl 4 -2 6, 1.774 Å, 51.53°, rel. 23.4; hkl 5 2 6, 1.390 Å, 67.35°, rel. 23.5


(8)
Computed powder diffraction line list
Compound: Sm3Cu6Sn5
Radiation: λ = 1.5418 Å (Cu Kα)
Structure: a DFT-relaxed cell (GGA-PBE, Alexandria)
Intensities are scaled so that the largest is 100.

Crystal structure
a = 4.3822 Å, b = 9.9536 Å, c = 12.9763 Å
α = 90.00°, β = 90.00°, γ = 90.00°
Space group Immm (No. 71)
Unique sites:
Sm  0.0000  0.0000  0.0000
Sm  0.0000  0.0000  0.3109
Cu  0.0000  0.1946  0.5000
Cu  0.0000  0.2839  0.1270
Sn  0.0000  0.3517  0.3357
Sn  0.0000  0.5000  0.0000

Peak list (12 most intense, 10 to 80 degrees two-theta, sorted by position)
hkl 1 0 3, 3.078 Å, 29.01°, rel. 74.5; hkl 0 2 4, 2.718 Å, 32.96°, rel. 29.4; hkl 1 3 0, 2.645 Å, 33.89°, rel. 73.2; hkl 0 3 3, 2.633 Å, 34.06°, rel. 60.0; hkl 1 2 3, 2.618 Å, 34.25°, rel. 100.0; hkl 1 3 2, 2.449 Å, 36.69°, rel. 48.0; hkl 2 0 0, 2.191 Å, 41.20°, rel. 67.4; hkl 0 0 6, 2.163 Å, 41.77°, rel. 37.2; hkl 1 4 1, 2.134 Å, 42.35°, rel. 25.6; hkl 2 3 3, 1.684 Å, 54.49°, rel. 31.9; hkl 2 0 6, 1.539 Å, 60.11°, rel. 25.6; hkl 1 6 3, 1.460 Å, 63.73°, rel. 29.1


(9)
Computed powder diffraction line list
Compound: Sm2Cu4Sn5
Radiation: λ = 1.5418 Å (Cu Kα)
Structure: a DFT-relaxed cell (GGA-PBE, Alexandria)
Intensities are scaled so that the largest is 100.

Crystal structure
a = 4.4197 Å, b = 4.4197 Å, c = 25.1775 Å
α = 90.00°, β = 90.00°, γ = 90.00°
Space group I4mm (No. 107)
Unique sites:
Sm  0.0000  0.0000  0.0000
Sm  0.0000  0.0000  0.3214
Cu  0.0000  0.0000  0.7720
Cu  0.0000  0.0000  0.8658
Cu  0.0000  0.5000  0.4095
Sn  0.0000  0.0000  0.4687
Sn  0.0000  0.5000  0.0971
Sn  0.0000  0.5000  0.2130

Peak list (12 most intense, 10 to 80 degrees two-theta, sorted by position)
hkl 0 0 8, 3.147 Å, 28.36°, rel. 19.0; hkl 1 1 2, 3.033 Å, 29.45°, rel. 69.1; hkl 1 1 4, 2.799 Å, 31.97°, rel. 39.5; hkl 1 0 7, 2.790 Å, 32.08°, rel. 29.7; hkl 1 1 6, 2.506 Å, 35.83°, rel. 100.0; hkl 1 0 9, 2.364 Å, 38.07°, rel. 20.8; hkl 2 0 0, 2.210 Å, 40.83°, rel. 83.7; hkl 1 1 10, 1.961 Å, 46.31°, rel. 23.4; hkl 2 0 8, 1.809 Å, 50.46°, rel. 16.5; hkl 2 0 10, 1.661 Å, 55.31°, rel. 18.9; hkl 2 2 0, 1.563 Å, 59.12°, rel. 28.1; hkl 3 1 6, 1.326 Å, 71.09°, rel. 27.4


(10)
Computed powder diffraction line list
Compound: Sm12Cu6Sn
Radiation: λ = 1.5418 Å (Cu Kα)
Structure: a DFT-relaxed cell (GGA-PBE, Alexandria)
Intensities are scaled so that the largest is 100.

Crystal structure
a = 10.0894 Å, b = 10.0894 Å, c = 10.0894 Å
α = 90.00°, β = 90.00°, γ = 90.00°
Space group Im-3 (No. 204)
Unique sites:
Sm  0.0000  0.1877  0.2996
Cu  0.0000  0.3777  0.5000
Sn  0.0000  0.0000  0.0000

Peak list (12 most intense, 10 to 80 degrees two-theta, sorted by position)
hkl 3 1 0, 3.191 Å, 27.96°, rel. 34.3; hkl 2 2 2, 2.913 Å, 30.70°, rel. 41.9; hkl 3 2 1, 2.697 Å, 33.22°, rel. 100.0; hkl 4 0 0, 2.522 Å, 35.59°, rel. 17.2; hkl 3 3 0, 2.378 Å, 37.83°, rel. 11.0; hkl 5 1 0, 1.979 Å, 45.86°, rel. 19.7; hkl 5 0 3, 1.730 Å, 52.92°, rel. 33.2; hkl 6 0 0, 1.682 Å, 54.57°, rel. 12.7; hkl 5 3 2, 1.637 Å, 56.20°, rel. 34.1; hkl 5 4 3, 1.427 Å, 65.41°, rel. 18.6; hkl 7 2 1, 1.373 Å, 68.32°, rel. 7.1; hkl 6 3 5, 1.206 Å, 79.48°, rel. 8.9


(11)
Computed powder diffraction line list
Compound: Sm4CuSn
Radiation: λ = 1.5418 Å (Cu Kα)
Structure: a DFT-relaxed cell (GGA-PBE, Alexandria)
Intensities are scaled so that the largest is 100.

Crystal structure
a = 7.4275 Å, b = 7.6050 Å, c = 6.7900 Å
α = 90.00°, β = 95.06°, γ = 90.00°
Space group P2_1/c (No. 14)
Unique sites:
Sm  0.1516  0.1678  0.1760
Sm  0.3288  0.6465  0.0977
Cu  0.0000  0.0000  0.5000
Sn  0.5000  0.0000  0.0000

Peak list (12 most intense, 10 to 80 degrees two-theta, sorted by position)
hkl 2 1 0, 3.321 Å, 26.84°, rel. 100.0; hkl 2 1 -1, 3.084 Å, 28.96°, rel. 24.3; hkl 1 2 -1, 3.075 Å, 29.04°, rel. 14.1; hkl 1 0 2, 2.978 Å, 30.01°, rel. 71.1; hkl 1 1 -2, 2.937 Å, 30.44°, rel. 36.8; hkl 2 2 0, 2.652 Å, 33.81°, rel. 12.6; hkl 1 3 -1, 2.281 Å, 39.51°, rel. 20.9; hkl 3 1 -1, 2.276 Å, 39.59°, rel. 12.8; hkl 3 1 1, 2.161 Å, 41.80°, rel. 17.5; hkl 1 1 -3, 2.124 Å, 42.57°, rel. 18.4; hkl 2 3 -1, 2.027 Å, 44.72°, rel. 17.8; hkl 3 1 2, 1.856 Å, 49.09°, rel. 11.5


(12)
Computed powder diffraction line list
Compound: SrSmCu
Radiation: λ = 1.5418 Å (Cu Kα)
Structure: a DFT-relaxed cell (GGA-PBE, Alexandria)
Intensities are scaled so that the largest is 100.

Crystal structure
a = 3.7109 Å, b = 3.7109 Å, c = 13.2459 Å
α = 90.00°, β = 90.00°, γ = 90.00°
Space group P4/mmm (No. 123)
Unique sites:
Sr  0.0000  0.0000  0.1421
Sm  0.5000  0.5000  0.3797
Cu  0.0000  0.0000  0.5000
Cu  0.5000  0.5000  0.0000

Peak list (12 most intense, 10 to 80 degrees two-theta, sorted by position)
hkl 0 0 2, 6.623 Å, 13.37°, rel. 11.4; hkl 1 0 1, 3.573 Å, 24.92°, rel. 27.1; hkl 0 0 4, 3.311 Å, 26.92°, rel. 15.8; hkl 1 0 3, 2.841 Å, 31.49°, rel. 100.0; hkl 1 1 0, 2.624 Å, 34.17°, rel. 63.5; hkl 1 0 5, 2.156 Å, 41.90°, rel. 34.0; hkl 1 1 4, 2.057 Å, 44.03°, rel. 16.9; hkl 2 0 0, 1.855 Å, 49.10°, rel. 22.5; hkl 2 1 3, 1.553 Å, 59.51°, rel. 31.4; hkl 2 1 5, 1.406 Å, 66.48°, rel. 16.7; hkl 1 1 8, 1.400 Å, 66.81°, rel. 13.7; hkl 2 0 8, 1.235 Å, 77.22°, rel. 9.0